No. 1
Computed X-ray powder pattern of Tb2Er5Tm6 for a wavelength of 1.5418 Å, from a GGA-PBE-relaxed structure.
Peak positions follow from Bragg's law for the DFT cell and can differ from measured ones.

The 12 most intense peaks (10 to 90 degrees two-theta), in order of rising 2θ:
| 2θ/deg | intensity |
| --- | --- |
| 27.99 | 29 |
| 31.12 | 28 |
| 31.52 | 58 |
| 32.09 | 49 |
| 32.47 | 96 |
| 32.74 | 100 |
| 34.91 | 37 |
| 37.25 | 33 |
| 51.89 | 23 |
| 55.44 | 23 |
| 57.92 | 24 |
| 62.57 | 32 |

Cell and atoms:
```
data_Tb2Er5Tm6
_chemical_formula_sum 'Tb4 Er10 Tm12'
_cell_length_a 11.4712
_cell_length_b 19.8930
_cell_length_c 3.5237
_cell_angle_alpha 90.00
_cell_angle_beta 90.00
_cell_angle_gamma 90.00
_symmetry_space_group_name_H-M 'P 1'
_symmetry_Int_Tables_number 1
_symmetry_space_group_name_Hall 'P 1'
loop_
_atom_site_label
_atom_site_type_symbol
_atom_site_fract_x
_atom_site_fract_y
_atom_site_fract_z
Tb1 Tb 0.1666 0.2106 0.0000
Tb2 Tb 0.3334 0.7106 0.0000
Tb3 Tb 0.6666 0.2894 0.0000
Tb4 Tb 0.8334 0.7894 0.0000
Er1 Er 0.0000 0.5000 0.5000
Er2 Er 0.0902 0.7734 0.5000
Er3 Er 0.1985 0.0491 0.5000
Er4 Er 0.3015 0.5491 0.5000
Er5 Er 0.4098 0.2734 0.5000
Er6 Er 0.5000 0.0000 0.5000
Er7 Er 0.5902 0.7266 0.5000
Er8 Er 0.6985 0.4509 0.5000
Er9 Er 0.8015 0.9509 0.5000
Er10 Er 0.9098 0.2266 0.5000
Tm1 Tm 0.0588 0.9192 0.0000
Tm2 Tm 0.0831 0.6311 0.0000
Tm3 Tm 0.1738 0.3664 0.5000
Tm4 Tm 0.3262 0.8664 0.5000
Tm5 Tm 0.4169 0.1311 0.0000
Tm6 Tm 0.4412 0.4192 0.0000
Tm7 Tm 0.5588 0.5808 0.0000
Tm8 Tm 0.5831 0.8689 0.0000
Tm9 Tm 0.6738 0.1336 0.5000
Tm10 Tm 0.8262 0.6336 0.5000
Tm11 Tm 0.9169 0.3689 0.0000
Tm12 Tm 0.9412 0.0808 0.0000
```

***

No. 2
Computed X-ray powder pattern of Tb5Er4Tm4 for a wavelength of 1.5418 Å, from a GGA-PBE-relaxed structure.
Peak positions follow from Bragg's law for the DFT cell and can differ from measured ones.

The 8 most intense peaks (10 to 90 degrees two-theta), in order of rising 2θ:
| 2θ/deg | intensity |
| --- | --- |
| 31.18 | 100 |
| 36.16 | 51 |
| 52.06 | 36 |
| 61.95 | 43 |
| 65.03 | 12 |
| 76.73 | 6 |
| 85.12 | 18 |
| 87.88 | 17 |

Cell and atoms:
```
data_Tb5Er4Tm4
_chemical_formula_sum 'Tb5 Er4 Tm4'
_cell_length_a 9.2967
_cell_length_b 9.2967
_cell_length_c 9.2967
_cell_angle_alpha 94.09
_cell_angle_beta 94.09
_cell_angle_gamma 149.02
_symmetry_space_group_name_H-M 'P 1'
_symmetry_Int_Tables_number 1
_symmetry_space_group_name_Hall 'P 1'
loop_
_atom_site_label
_atom_site_type_symbol
_atom_site_fract_x
_atom_site_fract_y
_atom_site_fract_z
Tb1 Tb 0.0000 0.0000 0.0000
Tb2 Tb 0.3066 0.4614 0.7679
Tb3 Tb 0.4614 0.6934 0.1548
Tb4 Tb 0.5386 0.3066 0.8452
Tb5 Tb 0.6934 0.5386 0.2321
Er1 Er 0.1542 0.2317 0.3859
Er2 Er 0.2317 0.8458 0.0775
Er3 Er 0.7683 0.1542 0.9225
Er4 Er 0.8458 0.7683 0.6141
Tm1 Tm 0.0764 0.6146 0.6910
Tm2 Tm 0.3854 0.0764 0.4619
Tm3 Tm 0.6146 0.9236 0.5381
Tm4 Tm 0.9236 0.3854 0.3090
```

***

No. 3
Computed X-ray powder pattern of Tb19Er6Tm4 for a wavelength of 1.5418 Å, from a GGA-PBE-relaxed structure.
Peak positions follow from Bragg's law for the DFT cell and can differ from measured ones.

The 12 most intense peaks (10 to 90 degrees two-theta), in order of rising 2θ:
| 2θ/deg | intensity |
| --- | --- |
| 26.93 | 48 |
| 28.83 | 55 |
| 30.62 | 100 |
| 33.94 | 17 |
| 35.50 | 42 |
| 37.00 | 72 |
| 42.55 | 20 |
| 52.21 | 17 |
| 54.42 | 25 |
| 60.74 | 28 |
| 61.75 | 21 |
| 72.36 | 17 |

Cell and atoms:
```
data_Tb19Er6Tm4
_chemical_formula_sum 'Tb19 Er6 Tm4'
_cell_length_a 10.7287
_cell_length_b 10.7287
_cell_length_c 10.7287
_cell_angle_alpha 109.47
_cell_angle_beta 109.47
_cell_angle_gamma 109.47
_symmetry_space_group_name_H-M 'P 1'
_symmetry_Int_Tables_number 1
_symmetry_space_group_name_Hall 'P 1'
loop_
_atom_site_label
_atom_site_type_symbol
_atom_site_fract_x
_atom_site_fract_y
_atom_site_fract_z
Tb1 Tb 0.0000 0.0000 0.0000
Tb2 Tb 0.0000 0.2616 0.2616
Tb3 Tb 0.0000 0.7384 0.7384
Tb4 Tb 0.0162 0.8012 0.3415
Tb5 Tb 0.1988 0.2149 0.5402
Tb6 Tb 0.2149 0.5402 0.1988
Tb7 Tb 0.2616 0.0000 0.2616
Tb8 Tb 0.2616 0.2616 0.0000
Tb9 Tb 0.3253 0.7851 0.9838
Tb10 Tb 0.3415 0.0162 0.8012
Tb11 Tb 0.4598 0.6747 0.6585
Tb12 Tb 0.5402 0.1988 0.2149
Tb13 Tb 0.6585 0.4598 0.6747
Tb14 Tb 0.6747 0.6585 0.4598
Tb15 Tb 0.7384 0.0000 0.7384
Tb16 Tb 0.7384 0.7384 0.0000
Tb17 Tb 0.7851 0.9838 0.3253
Tb18 Tb 0.8012 0.3415 0.0162
Tb19 Tb 0.9838 0.3253 0.7851
Er1 Er 0.1271 0.6271 0.5000
Er2 Er 0.3729 0.5000 0.8729
Er3 Er 0.5000 0.1271 0.6271
Er4 Er 0.5000 0.8729 0.3729
Er5 Er 0.6271 0.5000 0.1271
Er6 Er 0.8729 0.3729 0.5000
Tm1 Tm 0.0000 0.0000 0.6427
Tm2 Tm 0.0000 0.6427 0.0000
Tm3 Tm 0.3573 0.3573 0.3573
Tm4 Tm 0.6427 0.0000 0.0000
```

***

No. 4
Computed X-ray powder pattern of Tb5Er2Tm4 for a wavelength of 1.5418 Å, from a GGA-PBE-relaxed structure.
Peak positions follow from Bragg's law for the DFT cell and can differ from measured ones.

The 12 most intense peaks (10 to 90 degrees two-theta), in order of rising 2θ:
| 2θ/deg | intensity |
| --- | --- |
| 27.63 | 26 |
| 28.71 | 40 |
| 28.89 | 26 |
| 30.72 | 53 |
| 31.02 | 34 |
| 32.33 | 69 |
| 32.99 | 100 |
| 36.34 | 36 |
| 37.67 | 48 |
| 48.71 | 24 |
| 52.85 | 20 |
| 62.39 | 32 |

Cell and atoms:
```
data_Tb5Er2Tm4
_chemical_formula_sum 'Tb5 Er2 Tm4'
_cell_length_a 12.4837
_cell_length_b 12.4837
_cell_length_c 12.4837
_cell_angle_alpha 164.05
_cell_angle_beta 138.20
_cell_angle_gamma 45.01
_symmetry_space_group_name_H-M 'P 1'
_symmetry_Int_Tables_number 1
_symmetry_space_group_name_Hall 'P 1'
loop_
_atom_site_label
_atom_site_type_symbol
_atom_site_fract_x
_atom_site_fract_y
_atom_site_fract_z
Tb1 Tb 0.0000 0.0000 0.0000
Tb2 Tb 0.0545 0.3557 0.6987
Tb3 Tb 0.3430 0.6443 0.6987
Tb4 Tb 0.6570 0.3557 0.3013
Tb5 Tb 0.9455 0.6443 0.3013
Er1 Er 0.2688 0.7688 0.5000
Er2 Er 0.7312 0.2312 0.5000
Tm1 Tm 0.3128 0.5000 0.8128
Tm2 Tm 0.4030 0.9030 0.5000
Tm3 Tm 0.5970 0.0970 0.5000
Tm4 Tm 0.6872 0.5000 0.1872
```